The following is a theoretical powder X-ray diffraction pattern of HgBiSb. It was derived from DFT lattice parameters and positions (PBE), using a wavelength of 1.5418 Å.

Cell and atoms:
Cell lengths 4.299, 7.385, 7.413 Å; angles 69.56, 90.00, 89.95 degrees
Element x y z (fractional)
Hg 0.249 0.498 0.271
Hg 0.751 0.502 0.729
Bi 0.250 0.130 0.039
Bi 0.750 0.870 0.961
Sb 0.250 0.886 0.458
Sb 0.750 0.114 0.542

Principal peaks in the range 10 to 90 degrees two-theta, in order of rising 2θ:
24.35 deg, d = 3.656 Å, rel. 90
29.40 deg, d = 3.038 Å, rel. 27
29.66 deg, d = 3.012 Å, rel. 57
32.19 deg, d = 2.781 Å, rel. 100
32.64 deg, d = 2.743 Å, rel. 44
39.05 deg, d = 2.307 Å, rel. 20
42.04 deg, d = 2.149 Å, rel. 24
42.19 deg, d = 2.142 Å, rel. 45
50.52 deg, d = 1.807 Å, rel. 23
54.21 deg, d = 1.692 Å, rel. 21